No. 1
Structure and simulated X-ray powder pattern of TbCrP2Rh5 (the PBE geometry in Alexandria; λ = 1.5418 Å (Cu Kα)).
Neutral-atom scattering factors, no anomalous dispersion.

The 10 most intense peaks (10 to 90 degrees two-theta), in order of rising 2θ:
hkl 1 1 2, 2θ 34.67, rel. 100.0; hkl 0 0 4, 2θ 37.33, rel. 16.9; hkl 1 1 3, 2θ 40.67, rel. 46.1; hkl 2 0 0, 2θ 41.64, rel. 49.0; hkl 2 0 1, 2θ 42.73, rel. 14.8; hkl 2 0 4, 2θ 57.15, rel. 19.0; hkl 2 2 0, 2θ 60.35, rel. 16.0; hkl 2 0 5, 2θ 64.71, rel. 15.4; hkl 3 1 2, 2θ 71.51, rel. 23.0; hkl 3 1 3, 2θ 75.34, rel. 14.9

```
data_TbCrP2Rh5
_chemical_formula_sum 'Tb1 Cr1 P2 Rh5'
_cell_length_a 4.3381
_cell_length_b 4.3381
_cell_length_c 9.6351
_cell_angle_alpha 90.00
_cell_angle_beta 90.00
_cell_angle_gamma 90.00
_symmetry_space_group_name_H-M 'P 4/m m m'
_symmetry_Int_Tables_number 123
_symmetry_space_group_name_Hall '-P 4 2'
loop_
_atom_site_label
_atom_site_type_symbol
_atom_site_fract_x
_atom_site_fract_y
_atom_site_fract_z
Tb1 Tb 0.0000 0.0000 0.0000
Cr1 Cr 0.5000 0.5000 0.5000
P1 P 0.5000 0.5000 0.2580
Rh1 Rh 0.0000 0.5000 0.2062
Rh2 Rh 0.5000 0.5000 0.0000
```

***

No. 2
Structure and simulated X-ray powder pattern of Cs3SF6 (the PBE geometry in Alexandria; λ = 1.5418 Å (Cu Kα)).
Neutral-atom scattering factors, no anomalous dispersion.

The 10 most intense peaks (10 to 90 degrees two-theta), in order of rising 2θ:
hkl 1 1 2, 2θ 24.96, rel. 100.0; hkl 2 0 0, 2θ 27.07, rel. 42.5; hkl 2 0 2, 2θ 31.59, rel. 14.3; hkl 0 0 4, 2θ 32.28, rel. 24.7; hkl 2 2 0, 2θ 38.65, rel. 26.4; hkl 2 0 4, 2θ 42.61, rel. 24.4; hkl 3 1 2, 2θ 46.56, rel. 31.3; hkl 2 2 4, 2θ 51.21, rel. 22.4; hkl 1 1 6, 2θ 53.31, rel. 12.2; hkl 4 2 4, 2θ 72.67, rel. 12.2

```
data_Cs3SF6
_chemical_formula_sum 'Cs6 S2 F12'
_cell_length_a 6.5888
_cell_length_b 6.5888
_cell_length_c 11.0937
_cell_angle_alpha 90.00
_cell_angle_beta 90.00
_cell_angle_gamma 90.00
_symmetry_space_group_name_H-M 'I 4/m m m'
_symmetry_Int_Tables_number 139
_symmetry_space_group_name_Hall '-I 4 2'
loop_
_atom_site_label
_atom_site_type_symbol
_atom_site_fract_x
_atom_site_fract_y
_atom_site_fract_z
Cs1 Cs 0.0000 0.0000 0.0000
Cs2 Cs 0.0000 0.5000 0.2500
S1 S 0.0000 0.0000 0.5000
F1 F 0.0000 0.0000 0.2537
F2 F 0.1978 0.1978 0.5000
```

***

No. 3
Structure and simulated X-ray powder pattern of Li2Pu3Ir3 (the PBE geometry in Alexandria; λ = 1.5418 Å (Cu Kα)).
Neutral-atom scattering factors, no anomalous dispersion.

The 10 most intense peaks (10 to 90 degrees two-theta), in order of rising 2θ:
hkl 1 1 0, 2θ 21.82, rel. 88.3; hkl 0 0 2, 2θ 32.67, rel. 57.2; hkl 2 1 1, 2θ 37.51, rel. 100.0; hkl 3 0 0, 2θ 38.27, rel. 54.9; hkl 1 1 2, 2θ 39.64, rel. 41.9; hkl 3 1 1, 2θ 49.46, rel. 25.1; hkl 3 0 2, 2θ 51.18, rel. 46.3; hkl 3 2 1, 2θ 59.56, rel. 21.0; hkl 2 1 3, 2θ 61.52, rel. 24.4; hkl 5 1 1, 2θ 77.29, rel. 21.3

```
data_Li2Pu3Ir3
_chemical_formula_sum 'Li4 Pu6 Ir6'
_cell_length_a 8.1460
_cell_length_b 8.1460
_cell_length_c 5.4815
_cell_angle_alpha 90.00
_cell_angle_beta 90.00
_cell_angle_gamma 120.00
_symmetry_space_group_name_H-M 'P 63/m c m'
_symmetry_Int_Tables_number 193
_symmetry_space_group_name_Hall '-P 6c 2'
loop_
_atom_site_label
_atom_site_type_symbol
_atom_site_fract_x
_atom_site_fract_y
_atom_site_fract_z
Li1 Li 0.3333 0.6667 0.0000
Pu1 Pu 0.0000 0.2752 0.2500
Ir1 Ir 0.0000 0.3818 0.7500
```

***

No. 4
Structure and simulated X-ray powder pattern of Ba3SmGe2O9 (the PBE geometry in Alexandria; λ = 1.5418 Å (Cu Kα)).
Neutral-atom scattering factors, no anomalous dispersion.

The 10 most intense peaks (10 to 90 degrees two-theta), in order of rising 2θ:
hkl 0 1 2, 2θ 30.24, rel. 100.0; hkl 1 1 0, 2θ 30.48, rel. 95.1; hkl 2 0 2, 2θ 43.47, rel. 60.0; hkl 1 0 4, 2θ 53.58, rel. 17.8; hkl 1 2 2, 2θ 54.01, rel. 38.3; hkl 3 0 0, 2θ 54.16, rel. 18.9; hkl 0 2 4, 2θ 62.90, rel. 16.8; hkl 2 2 0, 2θ 63.43, rel. 18.0; hkl 2 1 4, 2θ 71.49, rel. 16.1; hkl 3 1 2, 2θ 71.86, rel. 17.5

```
data_Ba3SmGe2O9
_chemical_formula_sum 'Ba3 Sm1 Ge2 O9'
_cell_length_a 5.8663
_cell_length_b 5.8663
_cell_length_c 7.2664
_cell_angle_alpha 90.00
_cell_angle_beta 90.00
_cell_angle_gamma 120.00
_symmetry_space_group_name_H-M 'P -3 m 1'
_symmetry_Int_Tables_number 164
_symmetry_space_group_name_Hall '-P 3 2"'
loop_
_atom_site_label
_atom_site_type_symbol
_atom_site_fract_x
_atom_site_fract_y
_atom_site_fract_z
Ba1 Ba 0.0000 0.0000 0.0000
Ba2 Ba 0.3333 0.6667 0.6858
Sm1 Sm 0.0000 0.0000 0.5000
Ge1 Ge 0.3333 0.6667 0.1699
O1 O 0.0000 0.5000 0.0000
O2 O 0.1791 0.3583 0.3093
```

***

No. 5
Structure and simulated X-ray powder pattern of PmBeRh (the PBE geometry in Alexandria; λ = 1.5418 Å (Cu Kα)).
Neutral-atom scattering factors, no anomalous dispersion.

The 10 most intense peaks (10 to 90 degrees two-theta), in order of rising 2θ:
hkl 0 1 1, 2θ 24.34, rel. 45.2; hkl 1 1 1, 2θ 27.58, rel. 52.7; hkl 1 1 2, 2θ 34.77, rel. 81.4; hkl 2 0 2, 2θ 35.47, rel. 43.6; hkl 2 1 1, 2θ 35.71, rel. 100.0; hkl 1 0 3, 2θ 38.67, rel. 34.6; hkl 3 0 1, 2θ 40.94, rel. 31.6; hkl 0 1 3, 2θ 42.42, rel. 37.8; hkl 0 2 0, 2θ 43.04, rel. 39.3; hkl 3 1 4, 2θ 68.66, rel. 37.4

```
data_PmBeRh
_chemical_formula_sum 'Pm4 Be4 Rh4'
_cell_length_a 6.9258
_cell_length_b 4.2032
_cell_length_c 7.4164
_cell_angle_alpha 90.00
_cell_angle_beta 90.00
_cell_angle_gamma 90.00
_symmetry_space_group_name_H-M 'P n m a'
_symmetry_Int_Tables_number 62
loop_
_symmetry_equiv_pos_as_xyz
'x,y,z'
'-x,-y,-z'
'-x+1/2,-y,z+1/2'
'x+1/2,y,-z+1/2'
'x+1/2,-y+1/2,-z+1/2'
'-x+1/2,y+1/2,z+1/2'
'-x,y+1/2,-z'
'x,-y+1/2,z'
loop_
_atom_site_label
_atom_site_type_symbol
_atom_site_fract_x
_atom_site_fract_y
_atom_site_fract_z
Pm1 Pm 0.0096 0.2500 0.1931
Be1 Be 0.1754 0.2500 0.5808
Rh1 Rh 0.1648 0.7500 0.4349
```

***

No. 6
Structure and simulated X-ray powder pattern of Y2Ga4IrPd3 (the PBE geometry in Alexandria; λ = 1.5418 Å (Cu Kα)).
Neutral-atom scattering factors, no anomalous dispersion.

The 10 most intense peaks (10 to 90 degrees two-theta), in order of rising 2θ:
hkl 0 0 2, 2θ 16.64, rel. 15.8; hkl 1 0 3, 2θ 33.11, rel. 39.2; hkl 1 1 2, 2θ 34.73, rel. 100.0; hkl 2 0 0, 2θ 43.32, rel. 58.7; hkl 1 1 4, 2θ 45.87, rel. 39.2; hkl 1 0 5, 2θ 47.92, rel. 22.2; hkl 2 1 3, 2θ 55.59, rel. 17.3; hkl 2 2 0, 2θ 62.94, rel. 18.9; hkl 2 1 5, 2θ 66.57, rel. 16.2; hkl 3 1 2, 2θ 73.93, rel. 21.4

```
data_Y2Ga4IrPd3
_chemical_formula_sum 'Y2 Ga4 Ir1 Pd3'
_cell_length_a 4.1770
_cell_length_b 4.1770
_cell_length_c 10.6559
_cell_angle_alpha 90.00
_cell_angle_beta 90.00
_cell_angle_gamma 90.00
_symmetry_space_group_name_H-M 'P -4 m 2'
_symmetry_Int_Tables_number 115
loop_
_symmetry_equiv_pos_as_xyz
'x,y,z'
'y,-x,-z'
'-x,-y,z'
'-y,x,-z'
'-x,y,z'
'-y,-x,-z'
'x,-y,z'
'y,x,-z'
loop_
_atom_site_label
_atom_site_type_symbol
_atom_site_fract_x
_atom_site_fract_y
_atom_site_fract_z
Y1 Y 0.0000 0.5000 0.2408
Ga1 Ga 0.0000 0.0000 0.5000
Ga2 Ga 0.0000 0.5000 0.8696
Ga3 Ga 0.5000 0.5000 0.5000
Ir1 Ir 0.5000 0.5000 0.0000
Pd1 Pd 0.0000 0.0000 0.0000
Pd2 Pd 0.0000 0.5000 0.6378
```

***

No. 7
Structure and simulated X-ray powder pattern of AcAgC3N6 (the PBE geometry in Alexandria; λ = 1.5418 Å (Cu Kα)).
Neutral-atom scattering factors, no anomalous dispersion.

The 10 most intense peaks (10 to 90 degrees two-theta), in order of rising 2θ:
hkl 1 1 0, 2θ 17.41, rel. 100.0; hkl 0 2 1, 2θ 24.07, rel. 14.4; hkl 0 1 2, 2θ 28.18, rel. 20.4; hkl 3 0 0, 2θ 30.40, rel. 18.8; hkl 2 0 2, 2θ 33.32, rel. 27.5; hkl 2 2 0, 2θ 35.25, rel. 19.6; hkl 1 2 2, 2θ 37.84, rel. 30.5; hkl 3 1 2, 2θ 45.72, rel. 20.2; hkl 4 1 0, 2θ 47.22, rel. 14.3; hkl 2 3 2, 2θ 52.67, rel. 9.4

```
data_AcAgC3N6
_chemical_formula_sum 'Ac3 Ag3 C9 N18'
_cell_length_a 10.1852
_cell_length_b 10.1852
_cell_length_c 6.7845
_cell_angle_alpha 90.00
_cell_angle_beta 90.00
_cell_angle_gamma 120.00
_symmetry_space_group_name_H-M 'R -3 m'
_symmetry_Int_Tables_number 166
_symmetry_space_group_name_Hall '-R 3 2"'
loop_
_atom_site_label
_atom_site_type_symbol
_atom_site_fract_x
_atom_site_fract_y
_atom_site_fract_z
Ac1 Ac 0.0000 0.0000 0.0000
Ag1 Ag 0.0000 0.0000 0.5000
C1 C 0.0000 0.5000 0.0000
N1 N 0.1006 0.2013 0.2747
```

***

No. 8
Structure and simulated X-ray powder pattern of Cr2Ir2C (the PBE geometry in Alexandria; λ = 1.5418 Å (Cu Kα)).
Neutral-atom scattering factors, no anomalous dispersion.

The 10 most intense peaks (10 to 90 degrees two-theta), in order of rising 2θ:
hkl 0 0 3, 2θ 10.08, rel. 99.5; hkl 0 0 9, 2θ 30.56, rel. 16.5; hkl 1 0 1, 2θ 37.79, rel. 22.3; hkl 1 0 4, 2θ 40.14, rel. 100.0; hkl 0 0 12, 2θ 41.15, rel. 29.9; hkl 0 1 5, 2θ 41.49, rel. 16.5; hkl 0 1 8, 2θ 46.99, rel. 67.6; hkl 1 1 0, 2θ 67.93, rel. 22.4; hkl 1 0 16, 2θ 69.34, rel. 19.5; hkl 1 1 12, 2θ 82.60, rel. 23.5

```
data_Cr2Ir2C
_chemical_formula_sum 'Cr6 Ir6 C3'
_cell_length_a 2.7599
_cell_length_b 2.7599
_cell_length_c 26.3240
_cell_angle_alpha 90.00
_cell_angle_beta 90.00
_cell_angle_gamma 120.00
_symmetry_space_group_name_H-M 'R -3 m'
_symmetry_Int_Tables_number 166
_symmetry_space_group_name_Hall '-R 3 2"'
loop_
_atom_site_label
_atom_site_type_symbol
_atom_site_fract_x
_atom_site_fract_y
_atom_site_fract_z
Cr1 Cr 0.0000 0.0000 0.1227
Ir1 Ir 0.0000 0.0000 0.3779
C1 C 0.0000 0.0000 0.5000
```

***

Number 8 is which compound?
Cr2Ir2C